BaSnO3: simulated powder X-ray diffraction pattern (Cu Kα, 1.54184 Å), based on a structure optimized by DFT (PBE).

Structural model:
a = 5.923 Å, b = 5.923 Å, c = 5.923 Å
α = 120.01°, β = 90.12°, γ = 119.86°
Sites, in units of the cell vectors:
Ba  0.250  0.000  0.250
Ba  0.750  0.000  0.750
Sn  0.000  0.500  0.500
Sn  0.500  0.500  0.000
O  0.235  0.000  0.735
O  0.235  0.500  0.235
O  0.274  0.524  0.750
O  0.726  0.476  0.250
O  0.765  0.000  0.265
O  0.765  0.500  0.765

Peak list (12 most intense, 2θ from 10° to 90°, by intensity)
2theta	I_rel
30.17	100.0
53.56	34.8
43.18	30.2
62.75	15.9
87.08	11.6
71.10	9.3
71.23	9.2
87.00	7.7
53.64	7.0
86.85	4.0
79.27	3.3
79.12	3.2